Simulated powder XRD pattern of Na2Cu4F9 for CuKα, from a structure optimized by DFT (GGA-PBE).
Lines closer than 0.1° are merged.

Atomic structure:
Unit cell a=5.3987 b=5.4347 c=14.7984 alpha=88.25 beta=89.78 gamma=60.32
Atoms (fractional coordinates):
Na: 0.0253 0.0118 0.1484
Na: 0.0371 0.9900 0.3516
Na: 0.9629 0.0100 0.6484
Na: 0.9747 0.9882 0.8516
Cu: 0.2864 0.3393 0.6843
Cu: 0.3283 0.3342 0.9854
Cu: 0.3368 0.3346 0.4855
Cu: 0.3742 0.3412 0.1845
Cu: 0.6258 0.6588 0.8155
Cu: 0.6632 0.6654 0.5145
Cu: 0.6717 0.6658 0.0146
Cu: 0.7136 0.6607 0.3157
F: 0.0253 0.3684 0.4098
F: 0.0284 0.3799 0.0779
F: 0.0586 0.6600 0.2477
F: 0.2816 0.6582 0.7473
F: 0.3188 0.0686 0.5810
F: 0.3869 0.0015 0.2499
F: 0.3879 0.9295 0.9196
F: 0.3930 0.6327 0.0909
F: 0.4077 0.6219 0.4222
F: 0.5923 0.3781 0.5778
F: 0.6070 0.3673 0.9091
F: 0.6121 0.0705 0.0804
F: 0.6132 0.9985 0.7501
F: 0.6812 0.9314 0.4190
F: 0.7184 0.3418 0.2527
F: 0.9414 0.3400 0.7523
F: 0.9716 0.6201 0.9221
F: 0.9747 0.6316 0.5902

Largest 10 diffraction maxima, most intense first, 10 to 90 degrees two-theta:
2θ 30.6, rel. 1000; 2θ 33.0, rel. 748; 2θ 18.9, rel. 550; 2θ 22.6, rel. 477; 2θ 49.2, rel. 460; 2θ 31.2, rel. 405; 2θ 18.8, rel. 369; 2θ 33.2, rel. 339; 2θ 22.0, rel. 252; 2θ 44.9, rel. 223

Simulated powder XRD pattern of Li2Ta2VSe6 for CuKα, from a structure optimized by DFT (GGA-PBE).
Lines closer than 0.1° are merged.

Atomic structure:
Unit cell a=6.2634 b=6.2634 c=6.9353 alpha=97.22 beta=97.22 gamma=120.68
Atoms (fractional coordinates):
Li: 0.1842 0.8158 0.0000
Li: 0.8158 0.1842 0.0000
Ta: 0.3655 0.6345 0.5000
Ta: 0.6345 0.3655 0.5000
V: 0.0000 0.0000 0.5000
Se: 0.0549 0.3977 0.7204
Se: 0.2401 0.2401 0.2374
Se: 0.3977 0.0549 0.7204
Se: 0.6023 0.9451 0.2796
Se: 0.7599 0.7599 0.7626
Se: 0.9451 0.6023 0.2796

Largest 10 diffraction maxima, most intense first, 10 to 90 degrees two-theta:
2θ 13.2, rel. 1000; 2θ 33.4, rel. 734; 2θ 34.7, rel. 486; 2θ 46.8, rel. 274; 2θ 50.9, rel. 223; 2θ 19.0, rel. 173; 2θ 45.4, rel. 158; 2θ 28.8, rel. 144; 2θ 29.4, rel. 140; 2θ 16.9, rel. 123

Simulated powder XRD pattern of LiGa4Ru for CuKα, from a structure optimized by DFT (GGA-PBE).
Lines closer than 0.1° are merged.

Atomic structure:
Unit cell a=4.3459 b=4.3459 c=5.5342 alpha=90.59 beta=90.59 gamma=90.32
Atoms (fractional coordinates):
Li: 0.0000 0.0000 0.0000
Ga: 0.0032 0.4959 0.7477
Ga: 0.4959 0.0032 0.7477
Ga: 0.5041 0.9968 0.2523
Ga: 0.9968 0.5041 0.2523
Ru: 0.5000 0.5000 0.5000

Largest 10 diffraction maxima, most intense first, 10 to 90 degrees two-theta:
2θ 41.6, rel. 1000; 2θ 44.0, rel. 847; 2θ 43.8, rel. 431; 2θ 44.4, rel. 411; 2θ 20.4, rel. 384; 2θ 16.0, rel. 368; 2θ 77.2, rel. 304; 2θ 26.2, rel. 288; 2θ 29.0, rel. 284; 2θ 29.1, rel. 281

Simulated powder XRD pattern of LiHoThIr for CuKα, from a structure optimized by DFT (GGA-PBE).
Lines closer than 0.1° are merged.

Atomic structure:
Unit cell a=5.0109 b=5.0109 c=5.0109 alpha=60.00 beta=60.00 gamma=60.00
Atoms (fractional coordinates):
Li: 0.0000 0.0000 0.0000
Ho: 0.2500 0.2500 0.2500
Th: 0.7500 0.7500 0.7500
Ir: 0.5000 0.5000 0.5000

Largest 10 diffraction maxima, most intense first, 10 to 90 degrees two-theta:
2θ 35.8, rel. 1000; 2θ 64.4, rel. 373; 2θ 21.7, rel. 259; 2θ 51.6, rel. 180; 2θ 87.0, rel. 170; 2θ 42.3, rel. 142; 2θ 25.1, rel. 135; 2θ 76.0, rel. 116; 2θ 56.6, rel. 61; 2θ 58.2, rel. 55

Simulated powder XRD pattern of SmEr14Sc for CuKα, from a structure optimized by DFT (GGA-PBE).
Lines closer than 0.1° are merged.

Atomic structure:
Unit cell a=10.9492 b=6.8285 c=6.8285 alpha=73.00 beta=90.00 gamma=90.00
Atoms (fractional coordinates):
Sm: 0.0000 0.0000 0.0000
Er: 0.0000 0.5118 0.9199
Er: 0.0000 0.9199 0.5118
Er: 0.2317 0.2096 0.2096
Er: 0.2483 0.1391 0.7184
Er: 0.2483 0.7184 0.1391
Er: 0.2688 0.6475 0.6475
Er: 0.5000 0.3442 0.9351
Er: 0.5000 0.4127 0.4127
Er: 0.5000 0.8603 0.8603
Er: 0.5000 0.9351 0.3442
Er: 0.7312 0.6475 0.6475
Er: 0.7517 0.1391 0.7184
Er: 0.7517 0.7184 0.1391
Er: 0.7683 0.2096 0.2096
Sc: 0.0000 0.4417 0.4417

Largest 10 diffraction maxima, most intense first, 10 to 90 degrees two-theta:
2θ 31.9, rel. 1000; 2θ 32.7, rel. 472; 2θ 57.9, rel. 163; 2θ 31.4, rel. 141; 2θ 46.9, rel. 103; 2θ 56.4, rel. 100; 2θ 33.7, rel. 98; 2θ 64.4, rel. 98; 2θ 53.7, rel. 90; 2θ 28.5, rel. 86

Simulated powder XRD pattern of Ti4Sn2Se for CuKα, from a structure optimized by DFT (GGA-PBE).
Lines closer than 0.1° are merged.

Atomic structure:
Unit cell a=7.9969 b=7.9969 c=7.9969 alpha=147.04 beta=147.04 gamma=47.31
Atoms (fractional coordinates):
Ti: 0.0000 0.5000 0.5000
Ti: 0.1695 0.1695 0.0000
Ti: 0.5000 0.0000 0.5000
Ti: 0.8305 0.8305 0.0000
Sn: 0.3586 0.3586 0.0000
Sn: 0.6414 0.6414 0.0000
Se: 0.0000 0.0000 0.0000

Largest 10 diffraction maxima, most intense first, 10 to 90 degrees two-theta:
2θ 27.8, rel. 1000; 2θ 39.7, rel. 969; 2θ 26.8, rel. 828; 2θ 37.3, rel. 695; 2θ 55.3, rel. 452; 2θ 36.8, rel. 384; 2θ 36.5, rel. 373; 2θ 48.6, rel. 357; 2θ 57.4, rel. 320; 2θ 46.8, rel. 227